Entry 1:
Simulated powder diffraction line list
Compound: U3Sn13Rh4
Radiation: Cu Kα
Structure: a cell relaxed with GGA-PBE
No peak broadening, texture or thermal motion is included.

Principal peaks in the range 2θ from 15° to 90°, in order of rising 2θ:
| Position (°2θ) | I_rel |
| --- | --- |
| 33.2 | 100.0 |
| 34.5 | 40.3 |
| 36.9 | 22.0 |
| 38.1 | 11.0 |
| 45.6 | 13.0 |
| 55.0 | 12.9 |
| 58.4 | 15.6 |
| 63.4 | 16.5 |
| 70.4 | 11.4 |
| 88.0 | 12.6 |

Structural model:
a b c (Å): 9.7366 9.7366 9.7366
angles (deg): 90.00 90.00 90.00
Fractional positions:
U  0.0000  0.2500  0.5000
U  0.0000  0.7500  0.5000
U  0.2500  0.5000  0.0000
U  0.5000  0.0000  0.2500
U  0.5000  0.0000  0.7500
U  0.7500  0.5000  0.0000
Sn  0.0000  0.0000  0.0000
Sn  0.0000  0.3110  0.1517
Sn  0.0000  0.3110  0.8483
Sn  0.0000  0.6890  0.1517
Sn  0.0000  0.6890  0.8483
Sn  0.1517  0.0000  0.3110
Sn  0.1517  0.0000  0.6890
Sn  0.1890  0.5000  0.3483
Sn  0.1890  0.5000  0.6517
Sn  0.3110  0.1517  0.0000
Sn  0.3110  0.8483  0.0000
Sn  0.3483  0.1890  0.5000
Sn  0.3483  0.8110  0.5000
Sn  0.5000  0.3483  0.1890
Sn  0.5000  0.3483  0.8110
Sn  0.5000  0.5000  0.5000
Sn  0.5000  0.6517  0.1890
Sn  0.5000  0.6517  0.8110
Sn  0.6517  0.1890  0.5000
Sn  0.6517  0.8110  0.5000
Sn  0.6890  0.1517  0.0000
Sn  0.6890  0.8483  0.0000
Sn  0.8110  0.5000  0.3483
Sn  0.8110  0.5000  0.6517
Sn  0.8483  0.0000  0.3110
Sn  0.8483  0.0000  0.6890
Rh  0.2500  0.2500  0.2500
Rh  0.2500  0.2500  0.7500
Rh  0.2500  0.7500  0.2500
Rh  0.2500  0.7500  0.7500
Rh  0.7500  0.2500  0.2500
Rh  0.7500  0.2500  0.7500
Rh  0.7500  0.7500  0.2500
Rh  0.7500  0.7500  0.7500

=====

Entry 2:
Simulated powder diffraction line list
Compound: Mn2B4W
Radiation: Cu Kα
Structure: a cell relaxed with GGA-PBE
No peak broadening, texture or thermal motion is included.

Principal peaks in the range 2θ from 15° to 90°, in order of rising 2θ:
| Position (°2θ) | I_rel |
| --- | --- |
| 27.7 | 29.8 |
| 29.7 | 79.3 |
| 30.4 | 32.5 |
| 36.4 | 83.9 |
| 42.1 | 26.5 |
| 44.2 | 100.0 |
| 45.8 | 51.9 |
| 50.9 | 33.6 |
| 72.0 | 22.2 |
| 73.3 | 21.8 |

Structural model:
a b c (Å): 3.0224 3.0952 12.8748
angles (deg): 90.00 90.00 90.00
Fractional positions:
Mn  0.0000  0.0000  0.1864
Mn  0.0000  0.0000  0.8136
Mn  0.5000  0.5000  0.3136
Mn  0.5000  0.5000  0.6864
B  0.0000  0.0000  0.3520
B  0.0000  0.0000  0.6480
B  0.0000  0.5000  0.0724
B  0.0000  0.5000  0.9276
B  0.5000  0.0000  0.4276
B  0.5000  0.0000  0.5724
B  0.5000  0.5000  0.1480
B  0.5000  0.5000  0.8520
W  0.0000  0.5000  0.5000
W  0.5000  0.0000  0.0000

=====

Entry 3:
Simulated powder diffraction line list
Compound: PrSmCo17
Radiation: Cu Kα
Structure: a cell relaxed with GGA-PBE
No peak broadening, texture or thermal motion is included.

Principal peaks in the range 2θ from 15° to 90°, in order of rising 2θ:
| Position (°2θ) | I_rel |
| --- | --- |
| 30.7 | 38.4 |
| 37.2 | 39.6 |
| 38.7 | 34.8 |
| 43.2 | 69.5 |
| 43.6 | 100.0 |
| 44.5 | 19.9 |
| 44.8 | 32.8 |
| 49.0 | 25.0 |
| 63.1 | 18.9 |
| 64.0 | 16.5 |

Structural model:
a b c (Å): 6.3037 6.3037 6.3037
angles (deg): 83.24 83.24 83.24
Fractional positions:
Pr  0.0000  0.0000  0.0000
Sm  0.6895  0.6895  0.6895
Co  0.0011  0.0011  0.4939
Co  0.0011  0.4939  0.0011
Co  0.0609  0.3461  0.6296
Co  0.0609  0.6296  0.3461
Co  0.1970  0.6887  0.6887
Co  0.2498  0.2498  0.2498
Co  0.3461  0.0609  0.6296
Co  0.3464  0.3464  0.8449
Co  0.3461  0.6296  0.0609
Co  0.3464  0.8449  0.3464
Co  0.4418  0.4418  0.4418
Co  0.4939  0.0011  0.0011
Co  0.6296  0.0609  0.3461
Co  0.6296  0.3461  0.0609
Co  0.6887  0.1970  0.6887
Co  0.6887  0.6887  0.1970
Co  0.8449  0.3464  0.3464

=====

Entry 4:
Simulated powder diffraction line list
Compound: U6Al8Fe5Si5
Radiation: Cu Kα
Structure: a cell relaxed with GGA-PBE
No peak broadening, texture or thermal motion is included.

Principal peaks in the range 2θ from 15° to 90°, in order of rising 2θ:
| Position (°2θ) | I_rel |
| --- | --- |
| 21.7 | 46.4 |
| 21.9 | 40.0 |
| 22.6 | 44.7 |
| 26.7 | 64.9 |
| 27.5 | 45.2 |
| 30.5 | 81.9 |
| 37.8 | 100.0 |
| 42.7 | 33.8 |
| 44.6 | 34.9 |
| 45.0 | 26.5 |

Structural model:
a b c (Å): 10.3741 10.3741 10.3741
angles (deg): 156.44 108.13 76.83
Fractional positions:
U  0.1485  0.1485  0.0000
U  0.1817  0.8690  0.3127
U  0.4437  0.1310  0.3127
U  0.5563  0.8690  0.6873
U  0.8183  0.1310  0.6873
U  0.8515  0.8515  0.0000
Al  0.1387  0.0000  0.1387
Al  0.2671  0.7671  0.5000
Al  0.3306  0.5000  0.8306
Al  0.3791  0.3791  0.0000
Al  0.6209  0.6209  0.0000
Al  0.6694  0.5000  0.1694
Al  0.7329  0.2329  0.5000
Al  0.8613  0.0000  0.8613
Fe  0.0000  0.5000  0.5000
Fe  0.0392  0.7381  0.3011
Fe  0.4370  0.7381  0.6989
Fe  0.5630  0.2619  0.3011
Fe  0.9608  0.2619  0.6989
Si  0.0511  0.4028  0.6483
Si  0.2455  0.5972  0.6483
Si  0.5000  0.0000  0.5000
Si  0.7545  0.4028  0.3517
Si  0.9489  0.5972  0.3517

=====

Entry 5:
Simulated powder diffraction line list
Compound: YMgTl
Radiation: Cu Kα
Structure: a cell relaxed with GGA-PBE
No peak broadening, texture or thermal motion is included.

Principal peaks in the range 2θ from 15° to 90°, in order of rising 2θ:
| Position (°2θ) | I_rel |
| --- | --- |
| 23.4 | 52.8 |
| 23.5 | 68.1 |
| 30.4 | 37.8 |
| 33.4 | 100.0 |
| 38.5 | 25.4 |
| 41.2 | 72.3 |
| 45.6 | 24.6 |
| 48.0 | 20.9 |
| 57.7 | 23.1 |
| 65.1 | 32.9 |

Structural model:
a b c (Å): 7.5752 7.5752 4.6793
angles (deg): 90.00 90.00 120.00
Fractional positions:
Y  0.0000  0.4309  0.0000
Y  0.4309  0.0000  0.0000
Y  0.5691  0.5691  0.0000
Mg  0.0000  0.7572  0.5000
Mg  0.2428  0.2428  0.5000
Mg  0.7572  0.0000  0.5000
Tl  0.0000  0.0000  0.0000
Tl  0.3333  0.6667  0.5000
Tl  0.6667  0.3333  0.5000

=====

Entry 6:
Simulated powder diffraction line list
Compound: Dy2Se3
Radiation: Cu Kα
Structure: a cell relaxed with GGA-PBE
No peak broadening, texture or thermal motion is included.

Principal peaks in the range 2θ from 15° to 90°, in order of rising 2θ:
| Position (°2θ) | I_rel |
| --- | --- |
| 22.7 | 83.5 |
| 28.6 | 69.5 |
| 31.9 | 67.7 |
| 33.1 | 81.7 |
| 33.8 | 61.0 |
| 34.0 | 100.0 |
| 36.7 | 78.3 |
| 40.2 | 55.4 |
| 40.5 | 54.2 |
| 45.0 | 74.7 |

Structural model:
a b c (Å): 11.1621 4.0290 11.0008
angles (deg): 90.00 90.00 90.00
Fractional positions:
Dy  0.0128  0.2500  0.1875
Dy  0.1937  0.2500  0.5013
Dy  0.3063  0.7500  0.0013
Dy  0.4872  0.7500  0.6875
Dy  0.5128  0.2500  0.3125
Dy  0.6937  0.2500  0.9987
Dy  0.8063  0.7500  0.4987
Dy  0.9872  0.7500  0.8125
Se  0.0445  0.7500  0.3746
Se  0.1188  0.2500  0.9441
Se  0.2263  0.7500  0.6952
Se  0.2737  0.2500  0.1952
Se  0.3812  0.7500  0.4441
Se  0.4555  0.2500  0.8746
Se  0.5445  0.7500  0.1254
Se  0.6188  0.2500  0.5559
Se  0.7263  0.7500  0.8048
Se  0.7737  0.2500  0.3048
Se  0.8812  0.7500  0.0559
Se  0.9555  0.2500  0.6254